[1]
This entry pairs a crystal structure of TiCSBr with its theoretical X-ray powder pattern. Radiation: CuKα. Structure: a structure optimized by DFT (GGA-PBE).
Peak positions follow from Bragg's law for the DFT cell and can differ from measured ones.

Structure:
Cell lengths 15.6434, 3.0344, 3.3375 Å; angles 90.00, 97.19, 90.00 degrees
Space group Cm (No. 8)
Inequivalent atoms, fractional coordinates:
Ti 0.0000 0.0000 0.0000 (multiplicity 2)
C 0.0350 0.5000 0.5160 (multiplicity 2)
S 0.1266 0.5000 0.2988 (multiplicity 2)
Br 0.3663 0.0000 0.9246 (multiplicity 2)

Largest 6 diffraction maxima, sorted by position, 10 to 90 degrees two-theta:
2theta, intensity
11.40, 100
26.93, 31
27.94, 51
34.26, 56
41.60, 32
45.52, 35



[2]
This entry pairs a crystal structure of PmMg2Cd4 with its theoretical X-ray powder pattern. Radiation: CuKα. Structure: a structure optimized by DFT (GGA-PBE).
Peak positions follow from Bragg's law for the DFT cell and can differ from measured ones.

Structure:
Cell lengths 3.3574, 4.9475, 20.0839 Å; angles 90.00, 90.00, 90.00 degrees
Space group Immm (No. 71)
Inequivalent atoms, fractional coordinates:
Pm 0.0000 0.0000 0.0000 (multiplicity 2)
Mg 0.0000 0.5000 0.2040 (multiplicity 4)
Cd 0.0000 0.0000 0.4256 (multiplicity 4)
Cd 0.0000 0.5000 0.3490 (multiplicity 4)

Largest 6 diffraction maxima, sorted by position, 10 to 90 degrees two-theta:
2theta, intensity
29.77, 35
33.47, 98
34.83, 34
36.19, 100
36.32, 53
67.37, 47



[3]
This entry pairs a crystal structure of SrLiSmI6 with its theoretical X-ray powder pattern. Radiation: CuKα. Structure: a structure optimized by DFT (GGA-PBE).
Peak positions follow from Bragg's law for the DFT cell and can differ from measured ones.

Structure:
Cell lengths 7.7940, 7.7940, 14.4691 Å; angles 90.00, 90.00, 120.00 degrees
Space group P-31c (No. 163)
Inequivalent atoms, fractional coordinates:
Sr 0.0000 0.0000 0.0000 (multiplicity 2)
Li 0.3333 0.6667 0.2500 (multiplicity 2)
Sm 0.3333 0.6667 0.7500 (multiplicity 2)
I 0.0067 0.3563 0.1298 (multiplicity 12)

Largest 6 diffraction maxima, sorted by position, 10 to 90 degrees two-theta:
2theta, intensity
17.97, 17
25.97, 100
33.81, 46
40.07, 37
44.16, 24
48.38, 16